Calculated powder X-ray diffraction pattern of Cs4B9Se9 for λ = 1.5418 Å (Cu Kα), from a crystal structure in Alexandria, relaxed with PBE.

Atomic structure:
```
data_Cs4B9Se9
_chemical_formula_sum 'Cs8 B18 Se18'
_symmetry_space_group_name_H-M 'P -1'
_symmetry_Int_Tables_number 2
_cell_length_a 10.992
_cell_length_b 11.087
_cell_length_c 11.515
_cell_angle_alpha 92.04
_cell_angle_beta 103.95
_cell_angle_gamma 110.76
loop_
_symmetry_equiv_pos_as_xyz
'x,y,z'
'-x,-y,-z'
loop_
_atom_site_label
_atom_site_type_symbol
_atom_site_fract_x
_atom_site_fract_y
_atom_site_fract_z
Cs1 Cs 0.117 0.374 0.132
Cs2 Cs 0.144 0.008 0.368
Cs3 Cs 0.248 0.631 0.475
Cs4 Cs 0.315 0.385 0.758
B1 B 0.145 0.823 0.697
B2 B 0.174 0.769 0.140
B3 B 0.344 0.969 0.017
B4 B 0.375 0.865 0.918
B5 B 0.385 0.022 0.882
B6 B 0.433 0.257 0.247
B7 B 0.439 0.874 0.077
B8 B 0.458 0.132 0.021
B9 B 0.491 0.039 0.139
Se1 Se 0.011 0.256 0.439
Se2 Se 0.028 0.664 0.200
Se3 Se 0.162 0.916 0.051
Se4 Se 0.220 0.717 0.806
Se5 Se 0.237 0.016 0.735
Se6 Se 0.343 0.733 0.166
Se7 Se 0.415 0.284 0.074
Se8 Se 0.416 0.375 0.362
Se9 Se 0.476 0.104 0.299
```

The 10 most intense peaks (10° ≤ 2θ ≤ 90°), by angle:
24.09 deg, I 26; 24.52 deg, I 52; 26.04 deg, I 100; 27.96 deg, I 72; 28.47 deg, I 32; 29.65 deg, I 34; 30.31 deg, I 40; 31.44 deg, I 25; 31.68 deg, I 27; 31.85 deg, I 24

Calculated powder X-ray diffraction pattern of Rb2SmBe2S4 for λ = 1.5418 Å (Cu Kα), from a crystal structure in Alexandria, relaxed with PBE.

Atomic structure:
```
data_Rb2SmBe2S4
_chemical_formula_sum 'Rb4 Sm2 Be4 S8'
_symmetry_space_group_name_H-M 'C 1 2/m 1'
_symmetry_Int_Tables_number 12
_cell_length_a 14.910
_cell_length_b 3.734
_cell_length_c 8.154
_cell_angle_alpha 90.00
_cell_angle_beta 111.94
_cell_angle_gamma 90.00
loop_
_symmetry_equiv_pos_as_xyz
'x,y,z'
'-x,-y,-z'
'-x,y,-z'
'x,-y,z'
'x+1/2,y+1/2,z'
'-x+1/2,-y+1/2,-z'
'-x+1/2,y+1/2,-z'
'x+1/2,-y+1/2,z'
loop_
_atom_site_label
_atom_site_type_symbol
_atom_site_fract_x
_atom_site_fract_y
_atom_site_fract_z
Rb1 Rb 0.130 0.000 0.046
Sm1 Sm 0.000 0.000 0.500
Be1 Be 0.172 0.500 0.471
S1 S 0.037 0.500 0.270
S2 S 0.207 0.000 0.631
```

The 10 most intense peaks (10° ≤ 2θ ≤ 90°), by angle:
12.80 deg, I 40; 23.52 deg, I 32; 23.97 deg, I 33; 24.69 deg, I 46; 30.28 deg, I 31; 32.24 deg, I 47; 32.60 deg, I 100; 35.65 deg, I 30; 38.64 deg, I 47; 53.44 deg, I 31